Entry 1:
For ScPd2Pt6, a cell relaxed with GGA-PBE gives the computed powder X-ray diffraction pattern in this record (Cu Kα, 1.54184 Å).
Neutral-atom scattering factors, no anomalous dispersion.

Principal peaks in the range 2θ = 5–70°, by angle:
2theta	Rel. int.	(hkl)
14.35	41	0 2 0
37.78	66	1 5 0
37.91	92	3 1 1
38.98	57	2 2 -2
40.20	100	1 3 -2
40.97	51	2 4 1
42.83	40	2 0 2
43.26	77	4 2 -1

Crystal structure
a b c (Å): 9.1463 12.3466 5.3829
angles (deg): 90.00 100.80 90.00
Space group C2/c (No. 15)
One atom of each set of equivalent atoms:
Sc  0.0000  0.0836  0.2500
Pd  0.1433  0.4891  0.3750
Pt  0.0600  0.3065  0.0437
Pt  0.1467  0.1177  0.8248
Pt  0.2295  0.3190  0.6735

Entry 2:
For ClO4F, a cell relaxed with GGA-PBE gives the computed powder X-ray diffraction pattern in this record (Cu Kα, 1.54184 Å).
Neutral-atom scattering factors, no anomalous dispersion.

Principal peaks in the range 2θ = 5–70°, by angle:
2theta	Rel. int.	(hkl)
24.65	30	-1 1 1
25.39	10	1 2 1
26.31	8	2 1 0
27.81	30	1 -1 0
29.06	32	0 0 2
29.56	100	1 2 2
38.51	15	1 2 -1
43.27	7	0 3 2

Crystal structure
a b c (Å): 6.7851 7.0383 7.2684
angles (deg): 61.05 89.00 63.18
Space group P-1 (No. 2)
One atom of each set of equivalent atoms:
Cl  0.2237  0.3017  0.3141
O  0.0103  0.0796  0.7397
O  0.1690  0.9883  0.6688
O  0.3468  0.2670  0.8148
O  0.4672  0.3572  0.7309
F  0.2372  0.5168  0.0840

Entry 3:
For K2CaS2O9, a cell relaxed with GGA-PBE gives the computed powder X-ray diffraction pattern in this record (Cu Kα, 1.54184 Å).
Neutral-atom scattering factors, no anomalous dispersion.

Principal peaks in the range 2θ = 5–70°, by angle:
2theta	Rel. int.	(hkl)
9.10	76	0 0 1
15.29	80	0 1 1
19.12	56	1 1 0
27.52	100	0 0 3
30.86	68	0 2 2
31.19	58	2 1 -1
31.38	69	1 2 1
32.19	64	1 2 -2

Crystal structure
a b c (Å): 6.2611 7.2175 10.0421
angles (deg): 90.00 104.51 90.00
Space group P2_1 (No. 4)
One atom of each set of equivalent atoms:
K  0.1605  0.0000  0.3429
K  0.2143  0.5107  0.3321
Ca  0.3459  0.7679  0.9625
S  0.1474  0.2667  0.0038
S  0.2999  0.7412  0.6427
O  0.0378  0.7685  0.1222
O  0.0512  0.2576  0.1258
O  0.0804  0.7459  0.5409
O  0.2902  0.4343  0.0147
O  0.2950  0.1039  0.0027
O  0.3026  0.5795  0.7402
O  0.3299  0.9111  0.7304
O  0.4614  0.8238  0.2163
O  0.4769  0.7233  0.5694

Entry 4:
For Pa2Co2Ni3, a cell relaxed with GGA-PBE gives the computed powder X-ray diffraction pattern in this record (Cu Kα, 1.54184 Å).
Neutral-atom scattering factors, no anomalous dispersion.

Principal peaks in the range 2θ = 5–70°, by angle:
2theta	Rel. int.	(hkl)
21.75	67	0 0 2
24.26	41	1 0 -1
33.27	65	0 1 2
35.02	39	1 1 -1
35.69	100	1 1 1
48.46	48	1 1 3
51.04	44	0 2 0
53.09	38	2 1 -1

Crystal structure
a b c (Å): 4.0149 3.5801 8.1827
angles (deg): 90.00 92.67 90.00
Space group P2/m (No. 10)
One atom of each set of equivalent atoms:
Pa  0.1749  0.0000  0.2919
Co  0.2440  0.5000  0.7569
Ni  0.2576  0.5000  0.0643
Ni  0.5000  0.5000  0.5000